Al2SnCl8: computed X-ray diffraction stick pattern (copper Kα), based on the PBE geometry in Alexandria.
Neutral-atom scattering factors, no anomalous dispersion.

Largest 8 diffraction maxima, sorted by position, 15° ≤ 2θ ≤ 90°:
2θ (°)  I (rel.)
17.54  743
19.14  578
19.57  533
27.38  821
28.13  678
30.09  1000
31.02  697
37.44  517

Structure:
Cell: 10.492 10.492 12.685 Å, 124.45 124.45 40.94°
Positions (direct):
Al 0.133 0.674 0.830
Al 0.326 0.867 0.670
Al 0.674 0.133 0.330
Al 0.867 0.326 0.170
Sn 0.424 0.576 0.250
Sn 0.576 0.424 0.750
Cl 0.105 0.157 0.767
Cl 0.116 0.644 0.975
Cl 0.157 0.105 0.267
Cl 0.256 0.667 0.574
Cl 0.300 0.382 0.693
Cl 0.333 0.744 0.926
Cl 0.356 0.884 0.525
Cl 0.382 0.300 0.193
Cl 0.618 0.700 0.807
Cl 0.644 0.116 0.475
Cl 0.667 0.256 0.074
Cl 0.700 0.618 0.307
Cl 0.744 0.333 0.426
Cl 0.843 0.895 0.733
Cl 0.884 0.356 0.025
Cl 0.895 0.843 0.233

SrAl2Cl8: computed X-ray diffraction stick pattern (copper Kα), based on the PBE geometry in Alexandria.
Neutral-atom scattering factors, no anomalous dispersion.

Largest 8 diffraction maxima, sorted by position, 15° ≤ 2θ ≤ 90°:
2θ (°)  I (rel.)
15.09  418
17.36  660
25.48  526
27.39  1000
27.72  785
35.12  730
35.47  453
38.39  651

Structure:
Cell: 13.291 13.291 13.291 Å, 127.56 127.56 77.33°
Positions (direct):
Sr 0.125 0.375 0.750
Sr 0.375 0.125 0.250
Sr 0.625 0.875 0.750
Sr 0.875 0.625 0.250
Al 0.213 0.250 0.463
Al 0.250 0.287 0.037
Al 0.250 0.787 0.537
Al 0.287 0.750 0.037
Al 0.713 0.250 0.963
Al 0.750 0.213 0.463
Al 0.750 0.713 0.963
Al 0.787 0.750 0.537
Cl 0.086 0.877 0.484
Cl 0.098 0.663 0.934
Cl 0.102 0.392 0.516
Cl 0.108 0.398 0.984
Cl 0.123 0.108 0.209
Cl 0.163 0.598 0.434
Cl 0.164 0.098 0.936
Cl 0.229 0.164 0.566
Cl 0.271 0.837 0.936
Cl 0.336 0.271 0.934
Cl 0.337 0.771 0.436
Cl 0.377 0.586 0.984
Cl 0.392 0.377 0.291
Cl 0.398 0.914 0.291
Cl 0.402 0.336 0.564
Cl 0.414 0.898 0.791
Cl 0.586 0.102 0.209
Cl 0.598 0.664 0.436
Cl 0.602 0.086 0.709
Cl 0.608 0.623 0.709
Cl 0.623 0.414 0.016
Cl 0.663 0.229 0.564
Cl 0.664 0.729 0.066
Cl 0.729 0.163 0.064
Cl 0.771 0.836 0.434
Cl 0.836 0.902 0.064
Cl 0.837 0.402 0.566
Cl 0.877 0.892 0.791
Cl 0.892 0.602 0.016
Cl 0.898 0.608 0.484
Cl 0.902 0.337 0.066
Cl 0.914 0.123 0.516